Theoretical X-ray powder pattern of CePa3P4N12 for Cu Kα X-rays, from a structure optimized by DFT (GGA-PBE).

Atomic structure:
abc: 10.8891 10.8891 8.7869
angles: 90.00 90.00 120.00
Space group R32 (No. 155, hexagonal axes)
Unique sites:
Ce (0.0000, 0.0000, 0.0000) (multiplicity 3)
Pa (0.0000, 0.5419, 0.0000) (multiplicity 9)
P (0.0000, 0.0000, 0.5000) (multiplicity 3)
P (0.0000, 0.4573, 0.5000) (multiplicity 9)
N (0.0000, 0.6041, 0.5000) (multiplicity 9)
N (0.0000, 0.8532, 0.5000) (multiplicity 9)
N (0.0183, 0.2034, 0.1774) (multiplicity 18)

Top 10 peaks for 2θ = 10–90°, in order of falling intensity:
two_theta	I (rel.)	index
27.8	100	2 0 2
21.4	84	0 2 1
45.5	49	0 2 4
32.9	37	2 2 0
16.3	22	1 1 0
54.5	22	1 3 4
35.8	21	1 3 1
27.0	20	2 1 1
40.1	20	3 1 2
43.6	15	0 4 2


Theoretical X-ray powder pattern of Mg3In4Ag for Cu Kα X-rays, from a structure optimized by DFT (GGA-PBE).

Atomic structure:
abc: 3.292 4.664 12.755
angles: 92.67 97.15 90.01
Space group P-1 (No. 2)
Unique sites:
Mg (0.000, 0.000, 0.000) (multiplicity 1)
Mg (0.142, 0.725, 0.297) (multiplicity 2)
In (0.282, 0.758, 0.559) (multiplicity 2)
In (0.412, 0.791, 0.803) (multiplicity 2)
Ag (0.500, 0.500, 0.000) (multiplicity 1)

Top 10 peaks for 2θ = 10–90°, in order of falling intensity:
two_theta	I (rel.)	index
33.5	100	0 1 -4
20.6	65	0 1 1
27.3	52	1 0 0
33.6	45	-1 1 1
33.4	37	1 1 -1
66.5	31	1 3 -1
35.0	29	0 1 4
42.4	28	1 0 -5
42.2	25	1 0 4
41.4	23	1 1 -4


Theoretical X-ray powder pattern of YTc3B2 for Cu Kα X-rays, from a structure optimized by DFT (GGA-PBE).

Atomic structure:
abc: 5.5181 5.5181 3.1556
angles: 90.00 90.00 120.00
Space group P6/mmm (No. 191)
Unique sites:
Y (0.0000, 0.0000, 0.0000) (multiplicity 1)
Tc (0.0000, 0.5000, 0.5000) (multiplicity 3)
B (0.3333, 0.6667, 0.0000) (multiplicity 2)

Top 10 peaks for 2θ = 10–90°, in order of falling intensity:
two_theta	I (rel.)	index
37.6	100	2 0 0
34.0	60	1 0 1
43.6	38	1 1 1
47.7	32	2 0 1
71.7	29	2 0 2
58.9	24	2 1 1
67.9	19	2 2 0
28.3	18	0 0 1
65.7	11	3 0 1
80.4	10	4 0 0